# Co7W6
Simulated X-ray powder pattern, Cu Ka. Input: a cell relaxed with PBE.

Largest 8 diffraction maxima, low angle first, 10 to 90 degrees two-theta:
d [Å]	two_theta	intensity	hkl
2.375	37.88	100	1 1 0
2.176	41.51	67	1 0 10
2.076	43.60	72	1 1 6
2.050	44.17	24	0 2 1
2.028	44.69	44	0 1 11
1.329	70.88	28	2 1 10
1.221	78.29	20	0 0 21
1.188	80.95	24	2 2 0

Structure:
Lattice parameters (Å, degrees): 4.7505 4.7505 25.6340 90.00 90.00 120.00
Space group R-3m (No. 166, hexagonal axes)
One atom of each set of equivalent atoms:
Co 0.0000 0.0000 0.0000 x3
Co 0.0005 0.5002 0.4102 x18
W 0.0000 0.0000 0.1658 x6
W 0.0000 0.0000 0.3468 x6
W 0.0000 0.0000 0.4500 x6


# Tb2YTh3
Simulated X-ray powder pattern, Cu Ka. Input: a cell relaxed with PBE.

Largest 8 diffraction maxima, low angle first, 10 to 90 degrees two-theta:
d [Å]	two_theta	intensity	hkl
7.167	12.35	12	2 0 -1
3.016	29.62	66	2 0 2
2.743	32.64	100	5 1 -1
2.132	42.39	25	2 2 2
1.684	54.50	48	7 1 1
1.540	60.06	12	8 2 -4
1.349	69.73	12	4 2 4
1.123	86.69	13	9 1 3

Structure:
Lattice parameters (Å, degrees): 15.5455 6.0323 9.3695 90.00 117.12 90.00
Space group C2/m (No. 12)
One atom of each set of equivalent atoms:
Tb 0.0379 0.0000 0.2113 x4
Tb 0.2055 0.5000 0.5468 x4
Y 0.1283 0.5000 0.1232 x4
Th 0.0460 0.5000 0.7036 x4
Th 0.1199 0.0000 0.6288 x4
Th 0.2128 0.0000 0.0365 x4


# NdI2
Simulated X-ray powder pattern, Cu Ka. Input: a cell relaxed with PBE.

Largest 8 diffraction maxima, low angle first, 10 to 90 degrees two-theta:
d [Å]	two_theta	intensity	hkl
7.148	12.38	27	1 1 0
3.733	23.84	39	1 3 0
3.097	28.83	100	0 0 2
3.091	28.88	50	0 4 0
2.840	31.50	33	3 3 -1
2.191	41.21	55	4 0 0
2.187	41.29	55	4 0 -4
1.787	51.11	38	4 4 0

Structure:
Lattice parameters (Å, degrees): 12.3702 12.3648 8.7489 90.00 134.84 90.00
Space group C2/c (No. 15)
One atom of each set of equivalent atoms:
Nd 0.0000 0.0000 0.0000 x4
Nd 0.2500 0.2500 0.0000 x4
I 0.0008 0.2581 0.4855 x8
I 0.2347 0.4919 0.4855 x8


# Nb12In3Mo
Simulated X-ray powder pattern, Cu Ka. Input: a cell relaxed with PBE.

Largest 8 diffraction maxima, low angle first, 10 to 90 degrees two-theta:
d [Å]	two_theta	intensity	hkl
2.663	33.66	23	0 2 0
2.653	33.79	23	2 0 0
2.378	37.84	84	1 2 0
2.369	37.98	83	2 0 2
2.168	41.65	100	1 2 2
2.163	41.76	51	1 1 4
1.420	65.75	36	2 3 2
1.416	65.95	38	3 1 4

Structure:
Lattice parameters (Å, degrees): 5.3061 5.3255 10.5778 90.00 90.00 90.00
Space group Pmmm (No. 47)
One atom of each set of equivalent atoms:
Nb 0.0000 0.0000 0.1193 x2
Nb 0.0000 0.0000 0.3729 x2
Nb 0.2510 0.5000 0.5000 x2
Nb 0.2577 0.5000 0.0000 x2
Nb 0.5000 0.2434 0.2431 x4
In 0.0000 0.5000 0.2497 x2
In 0.5000 0.0000 0.5000 x1
Mo 0.5000 0.0000 0.0000 x1


# Tb2PmZn2Ge2
Simulated X-ray powder pattern, Cu Ka. Input: a cell relaxed with PBE.

Largest 8 diffraction maxima, low angle first, 10 to 90 degrees two-theta:
d [Å]	two_theta	intensity	hkl
3.581	24.86	28	1 0 1
2.883	31.02	54	1 0 7
2.737	32.72	100	0 1 8
2.246	40.16	16	0 0 15
2.079	43.53	60	1 1 0
1.656	55.50	22	2 0 8
1.526	60.70	28	1 1 15
1.295	73.06	19	1 2 8

Structure:
Lattice parameters (Å, degrees): 4.1585 4.1585 33.6832 90.00 90.00 120.00
Space group R-3m (No. 166, hexagonal axes)
One atom of each set of equivalent atoms:
Tb 0.0000 0.0000 0.1236 x6
Pm 0.0000 0.0000 0.0000 x3
Zn 0.0000 0.0000 0.3925 x6
Ge 0.0000 0.0000 0.2657 x6